# 1
Diffraction record for PrV2O2. The powder diffractogram is calculated, not measured: it uses the GGA+U geometry in Alexandria and CuKα.
Lines closer than 0.1° are merged.

Most intense lines, 5° ≤ 2θ ≤ 70°, by angle:
2theta	I_rel
13.6	39
24.2	21
27.3	58
28.4	100
29.6	22
36.0	56
40.6	28
41.5	29
49.7	36
52.8	19

Structure:
Lattice parameters (Å, degrees): 7.9119 7.9119 7.9119 111.74 111.74 105.03
Fractional coordinates of all 20 atoms:
Pr: 0.0000 0.0000 0.0000
Pr: 0.0000 0.0000 0.5000
Pr: 0.0000 0.5000 0.0000
Pr: 0.5000 0.0000 0.5000
V: 0.0646 0.6283 0.4363
V: 0.3081 0.3717 0.9363
V: 0.3717 0.3081 0.4363
V: 0.3717 0.9354 0.0637
V: 0.6283 0.0646 0.9363
V: 0.6283 0.6919 0.5637
V: 0.6919 0.6283 0.0637
V: 0.9354 0.3717 0.5637
O: 0.2224 0.3190 0.5966
O: 0.2224 0.6258 0.9034
O: 0.3190 0.2224 0.0966
O: 0.3742 0.7776 0.5966
O: 0.6258 0.2224 0.4034
O: 0.6810 0.7776 0.9034
O: 0.7776 0.3742 0.0966
O: 0.7776 0.6810 0.4034



# 2
Diffraction record for PrZr2VO8. The powder diffractogram is calculated, not measured: it uses the GGA+U geometry in Alexandria and CuKα.
Lines closer than 0.1° are merged.

Most intense lines, 5° ≤ 2θ ≤ 70°, by angle:
2theta	I_rel
22.5	17
25.2	70
26.0	64
32.6	100
36.5	26
49.2	46
50.2	41
51.7	12
62.2	11
63.2	27

Structure:
Lattice parameters (Å, degrees): 4.9283 4.9283 6.6304 90.00 90.00 91.81
Fractional coordinates of all 12 atoms:
Pr: 0.0000 0.0000 0.0000
Zr: 0.5000 0.5000 0.2592
Zr: 0.5000 0.5000 0.7408
V: 0.0000 0.0000 0.5000
O: 0.1923 0.1923 0.2984
O: 0.1923 0.1923 0.7016
O: 0.2910 0.7090 0.5000
O: 0.3249 0.6751 0.0000
O: 0.6751 0.3249 0.0000
O: 0.7090 0.2910 0.5000
O: 0.8077 0.8077 0.2984
O: 0.8077 0.8077 0.7016



# 3
Diffraction record for PrW5O15. The powder diffractogram is calculated, not measured: it uses the GGA+U geometry in Alexandria and CuKα.
Lines closer than 0.1° are merged.

Most intense lines, 5° ≤ 2θ ≤ 70°, by angle:
2theta	I_rel
23.1	78
25.5	67
26.1	100
27.5	28
29.7	74
33.5	35
35.1	28
42.9	32
50.8	31
54.7	35

Structure:
Lattice parameters (Å, degrees): 3.8528 7.4448 10.2545 90.00 90.00 90.00
Fractional coordinates of all 21 atoms:
Pr: 0.0000 0.0000 0.0000
W: 0.5000 0.2460 0.3168
W: 0.5000 0.2460 0.6832
W: 0.5000 0.5000 0.0000
W: 0.5000 0.7540 0.3168
W: 0.5000 0.7540 0.6832
O: 0.0000 0.2379 0.3109
O: 0.0000 0.2379 0.6891
O: 0.0000 0.5000 0.0000
O: 0.0000 0.7621 0.3109
O: 0.0000 0.7621 0.6891
O: 0.5000 0.0000 0.2345
O: 0.5000 0.0000 0.7655
O: 0.5000 0.1916 0.5000
O: 0.5000 0.3029 0.1236
O: 0.5000 0.3029 0.8764
O: 0.5000 0.5000 0.3510
O: 0.5000 0.5000 0.6490
O: 0.5000 0.6971 0.1236
O: 0.5000 0.6971 0.8764
O: 0.5000 0.8084 0.5000